For TbTl2Ir3O12, a structure optimized by DFT (GGA-PBE) gives the computed powder X-ray diffraction pattern in this record (CuKα).
Peak positions follow from Bragg's law for the DFT cell and can differ from measured ones.

Main lines, sorted by position (2θ = 10–90°):
2theta	d/Å	Rel. int.
24.1	3.694	26.6
27.4	3.258	31.5
28.5	3.130	100.0
30.0	2.981	93.7
30.3	2.947	81.7
32.7	2.737	56.1
46.2	1.964	31.2
48.2	1.890	39.1
49.3	1.847	62.4
56.5	1.629	33.3

Structural model:
abc: 7.3874 7.3874 15.1435
angles: 90.00 90.00 120.00
Space group R-3m (No. 166, hexagonal axes)
One atom of each set of equivalent atoms:
Tb1 0.0000 0.0000 0.0000 x3
Tl1 0.0000 0.0000 0.3883 x6
Ir1 0.0000 0.5000 0.5000 x9
O1 0.0296 0.5148 0.3753 x18
O2 0.0712 0.5356 0.8162 x18